Theoretical X-ray powder pattern of FeCu2H21O10F8 for Cu Ka, from the GGA+U geometry in Alexandria.
No peak broadening, texture or thermal motion is included.

```
FeCu2H21O10F8
1.0
6.790 0.000 0.000
-0.705 7.288 0.000
-2.289 -2.685 7.792
Fe Cu H O F
1 2 21 10 8
Direct
0.000 0.000 0.000 Fe
0.375 0.441 0.756 Cu
0.625 0.559 0.244 Cu
0.017 0.764 0.475 H
0.127 0.258 0.410 H
0.152 0.383 0.949 H
0.195 0.607 0.978 H
0.230 0.945 0.350 H
0.323 0.790 0.432 H
0.338 0.121 0.822 H
0.344 0.078 0.631 H
0.350 0.812 0.831 H
0.439 0.224 0.219 H
0.500 0.500 0.500 H
0.561 0.776 0.781 H
0.650 0.188 0.169 H
0.656 0.922 0.369 H
0.662 0.879 0.178 H
0.677 0.210 0.568 H
0.770 0.055 0.650 H
0.805 0.393 0.022 H
0.848 0.617 0.051 H
0.873 0.742 0.590 H
0.983 0.236 0.525 H
0.102 0.320 0.520 O
0.244 0.896 0.448 O
0.261 0.490 0.952 O
0.405 0.176 0.750 O
0.418 0.714 0.769 O
0.582 0.286 0.231 O
0.595 0.824 0.250 O
0.739 0.510 0.048 O
0.756 0.104 0.552 O
0.898 0.680 0.480 O
0.029 0.749 0.033 F
0.206 0.125 0.229 F
0.232 0.985 0.903 F
0.448 0.586 0.407 F
0.552 0.414 0.593 F
0.768 0.015 0.097 F
0.794 0.875 0.771 F
0.971 0.251 0.967 F
```

Peak list (10 most intense, 2θ = 10–80°, by angle)
2θ/deg  I/Imax  hkl
11.36  26.6  0 0 1
17.01  100.0  1 -1 0
18.97  55.4  1 1 -1
20.46  78.3  1 0 1
22.26  28.7  0 1 -2
22.73  29.6  1 0 -2
24.62  30.7  0 2 -1
26.53  36.6  2 0 -1
30.29  63.0  1 0 2
39.08  30.8  2 1 1